Diffraction record for Li5SbS4. The X-ray powder pattern is simulated, not measured: it uses a GGA-PBE-relaxed structure and Cu Kα.
No peak broadening, texture or thermal motion is included.

Top 10 peaks for 2θ from 15° to 90°, in order of rising 2θ:
| 2θ/deg | d [Å] | intensity | (hkl) |
| --- | --- | --- | --- |
| 17.67 | 5.018 | 100 | 1 1 1 |
| 18.08 | 4.905 | 32 | 0 2 1 |
| 22.45 | 3.960 | 22 | 0 0 2 |
| 24.38 | 3.651 | 31 | 1 3 0 |
| 29.77 | 3.001 | 27 | 2 2 1 |
| 30.77 | 2.906 | 24 | 0 4 1 |
| 32.69 | 2.740 | 37 | 2 0 2 |
| 33.38 | 2.684 | 43 | 1 3 2 |
| 39.04 | 2.307 | 20 | 2 4 1 |
| 47.95 | 1.897 | 26 | 4 0 0 |

Atomic structure:
a b c (Å): 7.588 12.496 7.920
angles (deg): 90.00 90.00 90.00
Space group Cmc2_1 (No. 36)
Asymmetric unit:
1 Li 0.000 0.141 0.000 x4
2 Li 0.182 0.061 0.391 x8
3 Li 0.214 0.371 0.181 x8
4 Sb 0.000 0.334 0.603 x4
5 S 0.000 0.022 0.668 x4
6 S 0.000 0.481 0.986 x4
7 S 0.240 0.256 0.432 x8

Diffraction record for Sr2NdBeO5. The X-ray powder pattern is simulated, not measured: it uses a GGA-PBE-relaxed structure and Cu Kα.
No peak broadening, texture or thermal motion is included.

Top 10 peaks for 2θ from 15° to 90°, in order of rising 2θ:
| 2θ/deg | d [Å] | intensity | (hkl) |
| --- | --- | --- | --- |
| 25.72 | 3.464 | 28 | 2 1 1 |
| 28.50 | 3.132 | 39 | 1 0 2 |
| 28.99 | 3.080 | 100 | 1 2 1 |
| 30.24 | 2.956 | 69 | 2 2 0 |
| 30.78 | 2.905 | 90 | 3 0 1 |
| 30.97 | 2.887 | 56 | 1 1 2 |
| 37.51 | 2.398 | 40 | 1 2 2 |
| 39.58 | 2.277 | 29 | 4 0 1 |
| 46.86 | 1.939 | 30 | 2 1 3 |
| 56.39 | 1.632 | 31 | 4 0 3 |

Atomic structure:
a b c (Å): 9.699 7.456 6.618
angles (deg): 90.00 90.00 90.00
Space group Pnma (No. 62)
Asymmetric unit:
1 Sr 0.173 0.025 0.086 x8
2 Nd 0.029 0.250 0.594 x4
3 Be 0.103 0.750 0.811 x4
4 O 0.014 0.750 0.029 x4
5 O 0.065 0.564 0.688 x8
6 O 0.220 0.750 0.326 x4
7 O 0.230 0.250 0.372 x4

Diffraction record for K4Bi. The X-ray powder pattern is simulated, not measured: it uses a GGA-PBE-relaxed structure and Cu Kα.
No peak broadening, texture or thermal motion is included.

Top 10 peaks for 2θ from 15° to 90°, in order of rising 2θ:
| 2θ/deg | d [Å] | intensity | (hkl) |
| --- | --- | --- | --- |
| 17.46 | 5.079 | 100 | 2 2 0 |
| 20.50 | 4.332 | 64 | 3 1 1 |
| 21.43 | 4.147 | 28 | 2 2 2 |
| 27.05 | 3.296 | 46 | 3 3 1 |
| 30.48 | 2.933 | 52 | 4 2 2 |
| 32.38 | 2.765 | 36 | 5 1 1 |
| 35.34 | 2.540 | 55 | 4 4 0 |
| 37.02 | 2.428 | 27 | 5 3 1 |
| 39.68 | 2.272 | 25 | 6 2 0 |
| 47.35 | 1.920 | 33 | 6 4 2 |

Atomic structure:
a b c (Å): 14.367 14.367 14.367
angles (deg): 90.00 90.00 90.00
Space group Fd-3m (No. 227, origin choice 2)
Asymmetric unit:
1 K 0.008 0.008 0.242 x32
2 Bi 0.125 0.125 0.625 x8

Diffraction record for ZnBi3O7. The X-ray powder pattern is simulated, not measured: it uses a GGA-PBE-relaxed structure and Cu Kα.
No peak broadening, texture or thermal motion is included.

Top 10 peaks for 2θ from 15° to 90°, in order of rising 2θ:
| 2θ/deg | d [Å] | intensity | (hkl) |
| --- | --- | --- | --- |
| 17.57 | 5.048 | 15 | 0 1 1 |
| 24.01 | 3.707 | 15 | 1 2 1 |
| 27.82 | 3.207 | 100 | 2 2 1 |
| 32.33 | 2.769 | 14 | 4 0 0 |
| 32.48 | 2.757 | 9 | 1 0 2 |
| 32.91 | 2.721 | 16 | 0 4 0 |
| 46.80 | 1.941 | 14 | 4 4 0 |
| 51.68 | 1.769 | 9 | 1 2 3 |
| 54.94 | 1.671 | 11 | 6 2 1 |
| 55.71 | 1.650 | 13 | 2 6 1 |

Atomic structure:
a b c (Å): 11.077 10.885 5.693
angles (deg): 90.00 90.00 90.00
Space group Pnma (No. 62)
Asymmetric unit:
1 Zn 0.083 0.250 0.192 x4
2 Bi 0.135 0.015 0.670 x8
3 Bi 0.145 0.750 0.218 x4
4 O 0.037 0.099 0.357 x8
5 O 0.041 0.250 0.847 x4
6 O 0.205 0.614 0.981 x8
7 O 0.228 0.624 0.458 x8